This entry pairs a crystal structure of Rb2TlPbI4 with its calculated powder diffraction line list. Radiation: copper Kα. Structure: a crystal structure in Alexandria, relaxed with PBE.
Lines closer than 0.1° are merged.

Atomic structure:
a b c (Å): 7.2539 7.2539 14.3467
angles (deg): 90.00 90.00 90.00
Element x y z (fractional)
1 Rb 0.0000 0.0000 0.0000
2 Rb 0.0000 0.5000 0.2500
3 Rb 0.5000 0.0000 0.7500
4 Rb 0.5000 0.5000 0.5000
5 Tl 0.0000 0.5000 0.7500
6 Tl 0.5000 0.0000 0.2500
7 Pb 0.0000 0.0000 0.5000
8 Pb 0.5000 0.5000 0.0000
9 I 0.0000 0.0000 0.2671
10 I 0.0000 0.0000 0.7329
11 I 0.0000 0.5000 0.5055
12 I 0.0000 0.5000 0.9945
13 I 0.5000 0.0000 0.0055
14 I 0.5000 0.0000 0.4945
15 I 0.5000 0.5000 0.2329
16 I 0.5000 0.5000 0.7671

The 10 most intense peaks (10° ≤ 2θ ≤ 90°), low angle first:
- 2θ = 13.68°, I = 22, (1 0 1)
- 2θ = 24.54°, I = 100, (2 0 0)
- 2θ = 24.82°, I = 46, (0 0 4)
- 2θ = 34.99°, I = 40, (2 2 0)
- 2θ = 35.19°, I = 75, (2 0 4)
- 2θ = 43.37°, I = 42, (2 2 4)
- 2θ = 56.76°, I = 20, (4 2 0)
- 2θ = 56.90°, I = 19, (4 0 4)
- 2θ = 57.31°, I = 16, (2 0 8)
- 2θ = 62.88°, I = 28, (4 2 4)

***

This entry pairs a crystal structure of RbYPbI6 with its calculated powder diffraction line list. Radiation: copper Kα. Structure: a crystal structure in Alexandria, relaxed with PBE.
Lines closer than 0.1° are merged.

Atomic structure:
a b c (Å): 8.1770 8.1770 15.9967
angles (deg): 90.00 90.00 120.00
Element x y z (fractional)
1 Rb 0.0000 0.0000 0.0000
2 Rb 0.0000 0.0000 0.5000
3 Y 0.3333 0.6667 0.2500
4 Y 0.6667 0.3333 0.7500
5 Pb 0.3333 0.6667 0.7500
6 Pb 0.6667 0.3333 0.2500
7 I 0.0188 0.3802 0.1375
8 I 0.0188 0.6386 0.3625
9 I 0.3614 0.3802 0.3625
10 I 0.3614 0.9812 0.1375
11 I 0.3802 0.0188 0.6375
12 I 0.3802 0.3614 0.8625
13 I 0.6198 0.6386 0.1375
14 I 0.6198 0.9812 0.3625
15 I 0.6386 0.0188 0.8625
16 I 0.6386 0.6198 0.6375
17 I 0.9812 0.3614 0.6375
18 I 0.9812 0.6198 0.8625

The 10 most intense peaks (10° ≤ 2θ ≤ 90°), low angle first:
- 2θ = 11.06°, I = 27, (0 0 2)
- 2θ = 12.50°, I = 14, (1 0 0)
- 2θ = 16.72°, I = 39, (1 0 2)
- 2θ = 24.45°, I = 100, (1 1 2)
- 2θ = 31.29°, I = 76, (1 1 4)
- 2θ = 35.36°, I = 21, (2 1 2)
- 2θ = 38.12°, I = 40, (3 0 0)
- 2θ = 40.39°, I = 29, (2 -1 6)
- 2θ = 50.12°, I = 16, (4 -2 4)
- 2θ = 60.70°, I = 16, (3 0 8)